Entry 1:
For BaSiAu2, DFT lattice parameters and positions (PBE) gives the theoretical powder diffractogram in this record (Cu Kα).

Structure:
Unit cell a=5.496 b=5.496 c=15.910 alpha=90.00 beta=90.00 gamma=90.00
Space group I-42d (No. 122)
Inequivalent atoms, fractional coordinates:
Ba1 0.000 0.000 0.000 x4
Si1 0.000 0.000 0.500 x4
Au1 0.069 0.250 0.625 x8

Largest 10 diffraction maxima, most intense first, 15° ≤ 2θ ≤ 90°:
d/Å  intensity
3.816  100
2.429  85
3.492  69
2.597  63
2.753  47
5.195  37
1.746  31
1.669  27
2.230  27
1.908  26


Entry 2:
For Na2ZnIO4, DFT lattice parameters and positions (PBE) gives the theoretical powder diffractogram in this record (Cu Kα).

Structure:
Unit cell a=5.989 b=5.989 c=6.496 alpha=90.00 beta=90.00 gamma=90.00
Space group I-4 (No. 82)
Inequivalent atoms, fractional coordinates:
Na1 0.000 0.000 0.000 x2
Na2 0.000 0.500 0.250 x2
Zn1 0.000 0.000 0.500 x2
I1 0.000 0.500 0.750 x2
O1 0.163 0.200 0.697 x8

Largest 10 diffraction maxima, most intense first, 15° ≤ 2θ ≤ 90°:
d/Å  intensity
4.403  100
2.577  96
1.636  55
2.995  52
2.476  36
2.118  34
1.428  14
1.339  13
1.609  13
1.684  12


Entry 3:
For Ag6H3IO6, DFT lattice parameters and positions (PBE) gives the theoretical powder diffractogram in this record (Cu Kα).

Structure:
Unit cell a=5.663 b=6.444 c=6.779 alpha=83.12 beta=66.92 gamma=70.43
Space group P-1 (No. 2)
Inequivalent atoms, fractional coordinates:
Ag1 0.163 0.484 0.217 x2
Ag2 0.266 0.188 0.897 x2
Ag3 0.307 0.636 0.795 x2
H1 0.000 0.500 0.000 x1
H2 0.500 0.000 0.500 x1
H3 0.500 0.500 0.000 x1
I1 0.000 0.000 0.500 x1
O1 0.115 0.680 0.502 x2
O2 0.263 0.987 0.217 x2
O3 0.282 0.980 0.624 x2

Largest 10 diffraction maxima, most intense first, 15° ≤ 2θ ≤ 90°:
d/Å  intensity
2.667  100
3.013  98
2.744  65
2.758  60
3.220  51
2.059  46
2.285  43
1.957  38
2.470  38
3.314  31